Diffraction record for Zn8Ag5. The powder diffractogram is computed, not measured: it uses the PBE geometry in OQMD and Cu Kα, 1.54184 Å.
Intensities are scaled so that the largest is 1000.

Top 6 peaks for 2θ from 10° to 80°, most intense first:
2θ (°)  d/Å  Rel. int.  h k l
40.7  2.215  1000  3 3 0
74.1  1.279  202  6 3 3
59.0  1.566  113  6 0 0
23.2  3.837  88  2 1 1
69.3  1.356  43  4 4 4
47.4  1.918  40  4 2 2

Structural model:
a = 9.3980 Å, b = 9.3980 Å, c = 9.3980 Å
α = 90.00°, β = 90.00°, γ = 90.00°
Space group I-43m (No. 217)
Unique sites:
Zn1 0.0297 0.3148 0.6852 x24
Zn2 0.1100 0.1100 0.8900 x8
Ag1 0.0000 0.0000 0.3539 x12
Ag2 0.1792 0.1792 0.1792 x8

Diffraction record for BWN3. The powder diffractogram is computed, not measured: it uses the PBE geometry in OQMD and Cu Kα, 1.54184 Å.
Intensities are scaled so that the largest is 1000.

Top 6 peaks for 2θ from 10° to 80°, most intense first:
2θ (°)  d/Å  Rel. int.  h k l
20.9  4.254  1000  0 0 1
31.7  2.826  974  2 0 1
23.5  3.780  779  2 0 0
45.9  1.976  615  2 1 1
38.9  2.318  573  0 1 1
40.4  2.231  394  2 1 0

Structural model:
a = 7.5597 Å, b = 2.7642 Å, c = 4.2538 Å
α = 90.00°, β = 90.00°, γ = 90.00°
Space group Pmma (No. 51)
Unique sites:
B1 0.2500 0.0000 0.0227 x2
W1 0.0000 0.5000 0.5000 x2
N1 0.0996 0.0000 0.7802 x4
N2 0.2500 0.5000 0.2251 x2

Diffraction record for NdTmAg2O4. The powder diffractogram is computed, not measured: it uses the PBE geometry in OQMD and Cu Kα, 1.54184 Å.
Intensities are scaled so that the largest is 1000.

Top 6 peaks for 2θ from 10° to 80°, most intense first:
2θ (°)  d/Å  Rel. int.  h k l
32.5  2.757  1000  0 1 2
30.0  2.983  383  0 1 1
28.5  3.127  348  0 0 4
60.0  1.543  305  1 1 4
53.1  1.725  303  0 1 6
51.5  1.774  284  1 1 0

Structural model:
a = 3.5473 Å, b = 3.5473 Å, c = 12.5070 Å
α = 90.00°, β = 90.00°, γ = 120.00°
Space group P-3m1 (No. 164)
Unique sites:
Nd1 0.0000 0.0000 0.0000 x1
Tm1 0.0000 0.0000 0.5000 x1
Ag1 0.3333 0.6667 0.7437 x2
O1 0.3333 0.6667 0.5783 x2
O2 0.3333 0.6667 0.9087 x2

Diffraction record for ZrB4H16. The powder diffractogram is computed, not measured: it uses the PBE geometry in OQMD and Cu Kα, 1.54184 Å.
Intensities are scaled so that the largest is 1000.

Top 6 peaks for 2θ from 10° to 80°, most intense first:
2θ (°)  d/Å  Rel. int.  h k l
15.6  5.666  1000  1 0 0
22.2  4.006  809  1 1 0
35.4  2.534  382  2 1 0
27.3  3.271  359  1 1 1
38.9  2.313  352  2 1 1
48.2  1.889  266  2 2 1

Structural model:
a = 5.6656 Å, b = 5.6656 Å, c = 5.6656 Å
α = 90.00°, β = 90.00°, γ = 90.00°
Space group P-43m (No. 215)
Unique sites:
Zr1 0.0000 0.0000 0.0000 x1
B1 0.2343 0.2343 0.7657 x4
H1 0.0181 0.2669 0.7331 x12
H2 0.3558 0.3558 0.6442 x4

Diffraction record for LiZnHCO4. The powder diffractogram is computed, not measured: it uses the PBE geometry in OQMD and Cu Kα, 1.54184 Å.
Intensities are scaled so that the largest is 1000.

Top 6 peaks for 2θ from 10° to 80°, most intense first:
2θ (°)  d/Å  Rel. int.  h k l
29.0  3.083  1000  1 0 1
18.6  4.758  869  0 0 2
25.2  3.531  336  0 1 2
16.8  5.268  264  0 1 0
43.4  2.087  254  1 1 3
35.4  2.538  235  0 2 1

Structural model:
a = 3.2592 Å, b = 5.2675 Å, c = 9.5165 Å
α = 90.00°, β = 90.00°, γ = 90.00°
Space group Pmn2_1 (No. 31)
Unique sites:
Li1 0.0000 0.1656 0.0000 x2
Zn1 0.0000 0.4233 0.3454 x2
H1 0.0000 0.6269 0.0418 x2
C1 0.0000 0.9418 0.2720 x2
O1 0.0000 0.1493 0.1981 x2
O2 0.0000 0.5247 0.9537 x2
O3 0.0000 0.7234 0.2105 x2
O4 0.0000 0.9616 0.4078 x2

Diffraction record for Lu2Fe3Si5. The powder diffractogram is computed, not measured: it uses the PBE geometry in OQMD and Cu Kα, 1.54184 Å.
Intensities are scaled so that the largest is 1000.

Top 6 peaks for 2θ from 10° to 80°, most intense first:
2θ (°)  d/Å  Rel. int.  h k l
32.2  2.780  1000  3 1 1
41.8  2.161  564  2 2 2
39.9  2.260  528  4 1 1
25.5  3.493  358  2 1 1
36.1  2.491  348  4 1 0
38.8  2.321  282  2 1 2

Structural model:
a = 10.2705 Å, b = 10.2705 Å, c = 5.3790 Å
α = 90.00°, β = 90.00°, γ = 90.00°
Space group P4/mnc (No. 128)
Unique sites:
Lu1 0.0690 0.2370 0.0000 x8
Fe1 0.0000 0.5000 0.2500 x4
Fe2 0.1232 0.8567 0.5000 x8
Si1 0.0000 0.0000 0.2578 x4
Si2 0.0234 0.3191 0.5000 x8
Si3 0.1785 0.6785 0.2500 x8

Diffraction record for CuTe2Pt2F2. The powder diffractogram is computed, not measured: it uses the PBE geometry in OQMD and Cu Kα, 1.54184 Å.
Intensities are scaled so that the largest is 1000.

Top 6 peaks for 2θ from 10° to 80°, most intense first:
2θ (°)  d/Å  Rel. int.  h k l
31.4  2.846  1000  1 0 2
40.3  2.235  926  1 1 2
46.7  1.946  650  1 0 4
19.2  4.620  574  0 0 2
35.1  2.554  573  1 1 0
50.5  1.806  407  2 0 0

Structural model:
a = 3.6122 Å, b = 3.6122 Å, c = 9.2405 Å
α = 90.00°, β = 90.00°, γ = 90.00°
Space group P-4m2 (No. 115)
Unique sites:
Cu1 0.0000 0.0000 0.0000 x1
Te1 0.0000 0.5000 0.7888 x2
Pt1 0.0000 0.5000 0.3211 x2
F1 0.0000 0.0000 0.5000 x1
F2 0.5000 0.5000 0.5000 x1

Diffraction record for H6PtN2Cl2. The powder diffractogram is computed, not measured: it uses the PBE geometry in OQMD and Cu Kα, 1.54184 Å.
Intensities are scaled so that the largest is 1000.

Top 6 peaks for 2θ from 10° to 80°, most intense first:
2θ (°)  d/Å  Rel. int.  h k l
14.0  6.338  1000  1 1 0
19.8  4.482  374  2 0 0
31.4  2.848  294  1 1 2
31.6  2.835  276  3 1 0
42.7  2.118  247  3 1 2
28.0  3.187  235  0 0 2

Structural model:
a = 8.9638 Å, b = 8.9638 Å, c = 6.3746 Å
α = 90.00°, β = 90.00°, γ = 90.00°
Space group P4/mnc (No. 128)
Unique sites:
H1 0.0277 0.2928 0.0000 x8
H2 0.1244 0.7551 0.1302 x16
Pt1 0.0000 0.0000 0.0000 x2
Pt2 0.0000 0.0000 0.5000 x2
N1 0.0618 0.7793 0.0000 x8
Cl1 0.0544 0.2549 0.5000 x8

Diffraction record for Tm3Ga5Ni. The powder diffractogram is computed, not measured: it uses the PBE geometry in OQMD and Cu Kα, 1.54184 Å.
Intensities are scaled so that the largest is 1000.

Top 6 peaks for 2θ from 10° to 80°, most intense first:
2θ (°)  d/Å  Rel. int.  h k l
34.0  2.637  1000  1 1 1
37.4  2.407  741  2 0 1
60.8  1.522  484  3 1 1
40.5  2.227  376  2 1 0
46.2  1.964  279  3 0 0
43.3  2.088  269  0 0 2

Structural model:
a = 6.8034 Å, b = 6.8034 Å, c = 4.1754 Å
α = 90.00°, β = 90.00°, γ = 120.00°
Space group P-62m (No. 189)
Unique sites:
Tm1 0.0000 0.5917 0.0000 x3
Ga1 0.0000 0.2356 0.5000 x3
Ga2 0.3333 0.6667 0.5000 x2
Ni1 0.0000 0.0000 0.0000 x1

Diffraction record for NbPb2Se2BrO8. The powder diffractogram is computed, not measured: it uses the PBE geometry in OQMD and Cu Kα, 1.54184 Å.
Intensities are scaled so that the largest is 1000.

Top 6 peaks for 2θ from 10° to 80°, most intense first:
2θ (°)  d/Å  Rel. int.  h k l
27.9  3.200  1000  2 1 0
32.8  2.729  389  0 2 0
29.4  3.039  349  1 1 2
23.7  3.754  346  1 1 -2
32.5  2.756  303  2 1 -3
24.9  3.578  242  1 0 -3

Structural model:
a = 8.5095 Å, b = 5.4575 Å, c = 10.7507 Å
α = 90.00°, β = 111.65°, γ = 90.00°
Space group P2_1 (No. 4)
Unique sites:
Nb1 0.1601 0.0000 0.0664 x2
Pb1 0.1945 0.9949 0.4777 x2
Pb2 0.3152 0.5394 0.8035 x2
Se1 0.0112 0.9882 0.7265 x2
Se2 0.3827 0.4983 0.2013 x2
Br1 0.3803 0.4788 0.5410 x2
O1 0.0358 0.6867 0.0442 x2
O2 0.0586 0.7695 0.6263 x2
O3 0.0768 0.2505 0.6704 x2
O4 0.1748 0.0744 0.2345 x2
O5 0.1816 0.9172 0.8718 x2
O6 0.3267 0.2886 0.0651 x2
O7 0.3823 0.7749 0.1172 x2
O8 0.4076 0.9444 0.7326 x2